# 1
For Y3Zn6Ag5, a PBE-relaxed structure gives the theoretical powder X-ray diffraction pattern in this record (Cu Kα X-rays).
No peak broadening, texture or thermal motion is included.

Main lines, in order of falling intensity (2θ from 10° to 90°):
- 2θ = 34.59°, d 2.593, I 100, hkl 1 2 3
- 2θ = 40.75°, d 2.214, I 99, hkl 2 0 0
- 2θ = 37.75°, d 2.383, I 78, hkl 1 3 2
- 2θ = 35.07°, d 2.558, I 70, hkl 1 3 0
- 2θ = 28.72°, d 3.109, I 58, hkl 1 0 3
- 2θ = 35.25°, d 2.546, I 51, hkl 0 3 3
- 2θ = 33.35°, d 2.687, I 49, hkl 0 2 4
- 2θ = 41.37°, d 2.183, I 44, hkl 0 0 6
- 2θ = 44.97°, d 2.016, I 44, hkl 1 3 4
- 2θ = 44.16°, d 2.051, I 41, hkl 1 4 1

Structure:
a = 4.4285 Å, b = 9.4035 Å, c = 13.0959 Å
α = 90.00°, β = 90.00°, γ = 90.00°
Space group Immm (No. 71)
Inequivalent atoms, fractional coordinates:
Y 0.0000 0.0000 0.0000 x2
Y 0.0000 0.0000 0.2986 x4
Zn 0.0000 0.1848 0.5000 x4
Zn 0.0000 0.2865 0.1297 x8
Ag 0.0000 0.3531 0.3351 x8
Ag 0.0000 0.5000 0.0000 x2



# 2
For Y6ZnAg5, a PBE-relaxed structure gives the theoretical powder X-ray diffraction pattern in this record (Cu Kα X-rays).
No peak broadening, texture or thermal motion is included.

Main lines, in order of falling intensity (2θ from 10° to 90°):
- 2θ = 34.95°, d 2.567, I 100, hkl 1 3 2
- 2θ = 34.84°, d 2.575, I 50, hkl 2 0 0
- 2θ = 62.53°, d 1.485, I 34, hkl 3 3 2
- 2θ = 50.09°, d 1.821, I 17, hkl 2 6 0
- 2θ = 62.75°, d 1.481, I 17, hkl 2 0 4
- 2θ = 73.82°, d 1.284, I 10, hkl 2 6 4
- 2θ = 50.43°, d 1.810, I 8, hkl 0 0 4
- 2θ = 84.03°, d 1.152, I 7, hkl 4 6 0
- 2θ = 84.10°, d 1.151, I 7, hkl 3 9 2
- 2θ = 84.62°, d 1.145, I 7, hkl 1 3 6

Structure:
a = 5.1549 Å, b = 15.4405 Å, c = 7.2384 Å
α = 90.00°, β = 90.00°, γ = 90.00°
Space group Cmmm (No. 65)
Inequivalent atoms, fractional coordinates:
Y 0.0000 0.0000 0.2482 x4
Y 0.0000 0.3342 0.2489 x8
Zn 0.0000 0.5000 0.0000 x2
Ag 0.0000 0.1648 0.0000 x4
Ag 0.0000 0.1673 0.5000 x4
Ag 0.0000 0.5000 0.5000 x2



# 3
For Y3Zn3Ag2, a PBE-relaxed structure gives the theoretical powder X-ray diffraction pattern in this record (Cu Kα X-rays).
No peak broadening, texture or thermal motion is included.

Main lines, in order of falling intensity (2θ from 10° to 90°):
- 2θ = 33.40°, d 2.683, I 100, hkl 1 1 1
- 2θ = 38.33°, d 2.348, I 37, hkl 2 1 0
- 2θ = 36.48°, d 2.463, I 32, hkl 2 0 1
- 2θ = 43.71°, d 2.071, I 21, hkl 3 0 0
- 2θ = 60.43°, d 1.532, I 18, hkl 2 1 2
- 2θ = 44.63°, d 2.031, I 18, hkl 2 1 1
- 2θ = 44.84°, d 2.021, I 18, hkl 0 0 2
- 2θ = 73.70°, d 1.285, I 16, hkl 4 1 1
- 2θ = 64.41°, d 1.447, I 13, hkl 3 0 2
- 2θ = 69.99°, d 1.344, I 10, hkl 3 2 1

Structure:
a = 7.1743 Å, b = 7.1743 Å, c = 4.0424 Å
α = 90.00°, β = 90.00°, γ = 120.00°
Space group P-62m (No. 189)
Inequivalent atoms, fractional coordinates:
Y 0.0000 0.3832 0.0000 x3
Zn 0.0000 0.7740 0.5000 x3
Ag 0.3333 0.6667 0.5000 x2